Entry 1:
Structure and simulated X-ray diffraction stick pattern of YZr3Al8 (a PBE-relaxed structure; Cu Kα, 1.54184 Å).
No peak broadening, texture or thermal motion is included.

Largest 10 diffraction maxima, by intensity, 2θ from 10° to 90°:
2θ (°)	I_rel
35.96	100
39.31	77
33.50	67
40.23	42
61.50	38
66.23	26
19.16	23
21.63	19
70.40	18
63.80	18

Crystal structure
abc: 5.350 5.350 8.895
angles: 90.00 90.00 120.00
Atoms (fractional coordinates):
1 Y 0.000 0.000 0.000
2 Zr 0.000 0.000 0.371
3 Zr 0.667 0.333 0.501
4 Zr 0.667 0.333 0.862
5 Al 0.163 0.326 0.681
6 Al 0.163 0.837 0.681
7 Al 0.333 0.667 0.436
8 Al 0.333 0.667 0.934
9 Al 0.504 0.008 0.190
10 Al 0.504 0.496 0.190
11 Al 0.674 0.837 0.681
12 Al 0.992 0.496 0.190

=====

Entry 2:
Structure and simulated X-ray diffraction stick pattern of LaTmTc (a PBE-relaxed structure; Cu Kα, 1.54184 Å).
No peak broadening, texture or thermal motion is included.

Largest 10 diffraction maxima, by intensity, 2θ from 10° to 90°:
2θ (°)	I_rel
29.52	100
35.90	78
39.55	69
28.13	51
30.49	40
28.55	36
53.36	32
37.36	32
32.02	31
34.88	28

Crystal structure
abc: 7.265 7.265 7.303
angles: 90.00 90.00 123.59
Atoms (fractional coordinates):
1 La 0.209 0.791 0.897
2 La 0.291 0.709 0.397
3 La 0.709 0.291 0.603
4 La 0.791 0.209 0.103
5 Tm 0.223 0.277 0.750
6 Tm 0.277 0.223 0.250
7 Tm 0.723 0.777 0.750
8 Tm 0.777 0.723 0.250
9 Tc 0.113 0.887 0.527
10 Tc 0.387 0.613 0.027
11 Tc 0.613 0.387 0.973
12 Tc 0.887 0.113 0.473

=====

Entry 3:
Structure and simulated X-ray diffraction stick pattern of PrZn12Ni6 (a PBE-relaxed structure; Cu Kα, 1.54184 Å).
No peak broadening, texture or thermal motion is included.

Largest 10 diffraction maxima, by intensity, 2θ from 10° to 90°:
2θ (°)	I_rel
35.95	100
43.17	45
53.17	29
47.31	28
27.14	19
47.19	17
32.90	15
40.58	14
65.99	14
50.21	12

Crystal structure
abc: 6.891 6.891 6.891
angles: 104.57 104.57 104.57
Atoms (fractional coordinates):
1 Pr 0.000 0.000 0.000
2 Zn 0.115 0.500 0.885
3 Zn 0.115 0.885 0.500
4 Zn 0.142 0.406 0.406
5 Zn 0.406 0.142 0.406
6 Zn 0.406 0.406 0.142
7 Zn 0.500 0.115 0.885
8 Zn 0.500 0.885 0.115
9 Zn 0.594 0.594 0.858
10 Zn 0.594 0.858 0.594
11 Zn 0.858 0.594 0.594
12 Zn 0.885 0.115 0.500
13 Zn 0.885 0.500 0.115
14 Ni 0.274 0.274 0.697
15 Ni 0.274 0.697 0.274
16 Ni 0.303 0.726 0.726
17 Ni 0.697 0.274 0.274
18 Ni 0.726 0.303 0.726
19 Ni 0.726 0.726 0.303

=====

Entry 4:
Structure and simulated X-ray diffraction stick pattern of La3Pr2Cu2 (a PBE-relaxed structure; Cu Kα, 1.54184 Å).
No peak broadening, texture or thermal motion is included.

Largest 10 diffraction maxima, by intensity, 2θ from 10° to 90°:
2θ (°)	I_rel
31.37	100
29.86	80
30.93	68
33.31	51
34.27	50
28.54	49
32.91	46
33.79	38
27.69	38
46.83	36

Crystal structure
abc: 3.880 6.605 9.070
angles: 100.70 102.33 107.04
Atoms (fractional coordinates):
1 La 0.000 0.000 0.000
2 La 0.327 0.211 0.440
3 La 0.673 0.789 0.560
4 Pr 0.154 0.494 0.814
5 Pr 0.846 0.506 0.186
6 Cu 0.440 0.104 0.776
7 Cu 0.560 0.896 0.224

=====

Entry 5:
Structure and simulated X-ray diffraction stick pattern of GeSbH (a PBE-relaxed structure; Cu Kα, 1.54184 Å).
No peak broadening, texture or thermal motion is included.

Largest 10 diffraction maxima, by intensity, 2θ from 10° to 90°:
2θ (°)	I_rel
23.79	100
30.75	39
39.81	34
31.23	31
44.32	25
43.61	21
34.07	14
46.76	12
48.58	11
44.81	11

Crystal structure
abc: 8.203 6.040 8.881
angles: 63.38 41.17 75.45
Atoms (fractional coordinates):
1 Ge 0.107 0.893 0.355
2 Ge 0.605 0.895 0.357
3 Ge 0.893 0.107 0.645
4 Ge 0.895 0.605 0.143
5 Sb 0.166 0.424 0.555
6 Sb 0.395 0.695 0.826
7 Sb 0.424 0.166 0.855
8 Sb 0.695 0.395 0.084
9 H 0.378 0.841 0.418
10 H 0.832 0.887 0.872
11 H 0.841 0.378 0.363
12 H 0.887 0.832 0.409

=====

Entry 6:
Structure and simulated X-ray diffraction stick pattern of Sr2Al2Ge2P (a PBE-relaxed structure; Cu Kα, 1.54184 Å).
No peak broadening, texture or thermal motion is included.

Largest 10 diffraction maxima, by intensity, 2θ from 10° to 90°:
2θ (°)	I_rel
30.06	100
29.49	93
31.36	92
32.12	87
40.69	53
34.53	43
44.95	37
34.83	25
45.81	25
29.25	23

Crystal structure
abc: 4.434 6.448 6.765
angles: 73.49 71.03 69.97
Atoms (fractional coordinates):
1 Sr 0.066 0.185 0.183
2 Sr 0.934 0.815 0.817
3 Al 0.283 0.582 0.350
4 Al 0.717 0.418 0.650
5 Ge 0.343 0.192 0.623
6 Ge 0.657 0.808 0.377
7 P 0.500 0.500 0.000

=====

Entry 7:
Structure and simulated X-ray diffraction stick pattern of CsNaTl6 (a PBE-relaxed structure; Cu Kα, 1.54184 Å).
No peak broadening, texture or thermal motion is included.

Largest 10 diffraction maxima, by intensity, 2θ from 10° to 90°:
2θ (°)	I_rel
31.03	100
31.73	42
33.87	34
25.93	22
13.29	21
33.69	18
58.83	17
46.78	16
24.17	14
17.30	14

Crystal structure
abc: 5.293 8.023 6.664
angles: 90.00 90.00 90.00
Atoms (fractional coordinates):
1 Cs 0.000 0.000 0.000
2 Na 0.500 0.500 0.263
3 Tl 0.000 0.294 0.478
4 Tl 0.000 0.500 0.954
5 Tl 0.000 0.706 0.478
6 Tl 0.500 0.000 0.429
7 Tl 0.500 0.300 0.769
8 Tl 0.500 0.700 0.769

=====

Entry 8:
Structure and simulated X-ray diffraction stick pattern of AsC (a PBE-relaxed structure; Cu Kα, 1.54184 Å).
No peak broadening, texture or thermal motion is included.

Largest 10 diffraction maxima, by intensity, 2θ from 10° to 90°:
2θ (°)	I_rel
24.42	100
39.49	50
18.54	40
38.51	33
33.90	29
43.13	26
49.31	24
18.22	20
36.92	20
32.02	18

Crystal structure
abc: 9.739 2.583 5.495
angles: 90.00 90.00 90.00
Atoms (fractional coordinates):
1 As 0.111 0.250 0.137
2 As 0.389 0.750 0.637
3 As 0.611 0.250 0.363
4 As 0.889 0.750 0.863
5 C 0.015 0.250 0.448
6 C 0.485 0.750 0.948
7 C 0.515 0.250 0.052
8 C 0.985 0.750 0.552